1.
Starting from the PBE geometry in the Materials Project, the powder XRD pattern of ScCu2O4 was calculated for Cu Kα, 1.54184 Å.
Peak positions follow from Bragg's law for the DFT cell and can differ from measured ones.

Cell lengths 5.5041, 5.5041, 9.4495 Å; angles 90.00, 90.00, 90.00 degrees
Space group I4_1/a (No. 88, origin choice 2)
One atom of each set of equivalent atoms:
Sc 0.0000 0.2500 0.1250 (multiplicity 4)
Cu 0.0000 0.0000 0.5000 (multiplicity 8)
O 0.1549 0.4442 0.3220 (multiplicity 16)

Most intense lines, 10° ≤ 2θ ≤ 90°, low angle first:
- 18.66 deg, I = 17, (1 0 1)
- 32.76 deg, I = 23, (1 0 3)
- 37.79 deg, I = 100, (1 2 1)
- 51.10 deg, I = 14, (1 0 5)
- 58.19 deg, I = 11, (3 0 3)
- 61.53 deg, I = 11, (2 3 1)
- 61.76 deg, I = 18, (2 2 4)
- 80.67 deg, I = 10, (4 2 2)

=====

2.
Starting from the PBE geometry in the Materials Project, the powder XRD pattern of ScCuO2 was calculated for Cu Kα, 1.54184 Å.
Peak positions follow from Bragg's law for the DFT cell and can differ from measured ones.

Cell lengths 3.2440, 3.2440, 17.1776 Å; angles 90.00, 90.00, 120.00 degrees
Space group R-3m (No. 166, hexagonal axes)
One atom of each set of equivalent atoms:
Sc 0.0000 0.0000 0.0000 (multiplicity 3)
Cu 0.0000 0.0000 0.5000 (multiplicity 3)
O 0.0000 0.0000 0.3928 (multiplicity 6)

Most intense lines, 10° ≤ 2θ ≤ 90°, low angle first:
- 31.24 deg, I = 24, (0 0 6)
- 32.29 deg, I = 20, (1 0 1)
- 33.56 deg, I = 100, (0 1 2)
- 38.28 deg, I = 33, (1 0 4)
- 53.73 deg, I = 28, (0 1 8)
- 56.76 deg, I = 27, (1 1 0)
- 63.48 deg, I = 18, (1 0 10)
- 66.22 deg, I = 15, (1 1 6)